No. 1
For Li6TiN4, a GGA-PBE-relaxed structure gives the computed powder diffractogram in this record (Cu Kα (λ = 1.5418 Å)).

Structure:
```
data_Li6TiN4
_cell_length_a 6.7679
_cell_length_b 6.7679
_cell_length_c 4.9084
_cell_angle_alpha 90.00
_cell_angle_beta 90.00
_cell_angle_gamma 90.00
_space_group_name_H-M_alt 'P 42/n m c'
_space_group_IT_number 137
loop_
_space_group_symop_operation_xyz
'x,y,z'
'-x,-y,-z'
'-y+1/2,x,z+1/2'
'y+1/2,-x,-z+1/2'
'-x+1/2,-y+1/2,z'
'x+1/2,y+1/2,-z'
'y,-x+1/2,z+1/2'
'-y,x+1/2,-z+1/2'
'x+1/2,-y,-z'
'-x+1/2,y,z'
'-y,-x,-z+1/2'
'y,x,z+1/2'
'-x,y+1/2,-z'
'x,-y+1/2,z'
'y+1/2,x+1/2,-z+1/2'
'-y+1/2,-x+1/2,z+1/2'
loop_
_atom_site_label
_atom_site_fract_x
_atom_site_fract_y
_atom_site_fract_z
Li1 0.0394 0.5394 0.2500
Li2 0.2500 0.2500 0.1704
Ti1 0.2500 0.7500 0.7500
N1 0.0029 0.7500 0.5540
```

Top 10 peaks for 15° ≤ 2θ ≤ 90°, low angle first:
two_theta	I_rel	hkl
18.54	45	1 1 0
22.37	100	1 0 1
26.34	19	2 0 0
32.13	38	2 0 1
34.82	40	2 1 1
41.34	12	1 1 2
44.18	26	3 0 1
53.48	32	2 2 2
54.21	19	4 0 0
64.77	15	2 1 3

No. 2
For Nd5Ga2, a GGA-PBE-relaxed structure gives the computed powder diffractogram in this record (Cu Kα (λ = 1.5418 Å)).

Structure:
```
data_Nd5Ga2
_cell_length_a 8.0867
_cell_length_b 15.0100
_cell_length_c 6.6773
_cell_angle_alpha 90.00
_cell_angle_beta 90.00
_cell_angle_gamma 90.00
_space_group_name_H-M_alt 'I b a m'
_space_group_IT_number 72
_space_group_name_Hall '-I 2 2c'
loop_
_atom_site_label
_atom_site_fract_x
_atom_site_fract_y
_atom_site_fract_z
Nd1 0.0000 0.0000 0.2500
Nd2 0.0000 0.2377 0.2500
Nd3 0.1575 0.4218 0.0000
Ga1 0.2306 0.3738 0.5000
```

Top 10 peaks for 15° ≤ 2θ ≤ 90°, low angle first:
two_theta	I_rel	hkl
29.28	30	0 2 2
29.52	100	1 1 2
31.44	32	2 3 1
31.80	40	1 5 0
32.55	93	2 4 0
33.78	47	3 1 0
34.85	100	2 0 2
36.01	88	0 4 2
53.28	32	3 5 2
65.40	24	2 4 4

No. 3
For CrC8N6, a GGA-PBE-relaxed structure gives the computed powder diffractogram in this record (Cu Kα (λ = 1.5418 Å)).

Structure:
```
data_CrC8N6
_cell_length_a 7.3298
_cell_length_b 7.3298
_cell_length_c 5.6689
_cell_angle_alpha 90.00
_cell_angle_beta 90.00
_cell_angle_gamma 120.00
_space_group_name_H-M_alt 'P -3 m 1'
_space_group_IT_number 164
_space_group_name_Hall '-P 3 2"'
loop_
_atom_site_label
_atom_site_fract_x
_atom_site_fract_y
_atom_site_fract_z
Cr1 0.0000 0.0000 0.0000
C1 0.2235 0.4470 0.2240
C2 0.3333 0.6667 0.2492
N1 0.1324 0.2647 0.1874
```

Top 10 peaks for 15° ≤ 2θ ≤ 90°, low angle first:
two_theta	I_rel	hkl
15.63	35	0 0 1
21.01	100	0 1 1
24.29	13	1 1 0
29.01	10	1 1 1
32.33	18	0 2 1
34.66	9	0 1 2
40.84	15	1 2 1
42.77	19	0 2 2
49.77	10	2 2 0
66.29	8	0 3 3